1.
Starting from a DFT-relaxed cell (PBE, Alexandria), the powder XRD pattern of Ho3ThC3 was simulated for Cu Kα X-rays.

Principal peaks in the range 2θ from 5° to 70°, in order of rising 2θ:
Position (°2θ)  I (rel.)
12.05  90
29.80  1000
34.55  611
40.75  27
44.48  25
49.66  423
58.99  428
61.90  141

Crystal structure
abc: 10.3856 10.3856 10.3856
angles: 90.00 90.00 90.00
Space group I4_132 (No. 214)
Unique sites:
1 Ho 0.1142 0.3750 0.3642 [24 per cell]
2 Th 0.1250 0.1250 0.1250 [8 per cell]
3 C 0.1205 0.1250 0.8705 [24 per cell]



2.
Starting from a DFT-relaxed cell (PBE, Alexandria), the powder XRD pattern of Nd5Ho12Tm2 was simulated for Cu Kα X-rays.

Principal peaks in the range 2θ from 5° to 70°, in order of rising 2θ:
Position (°2θ)  I (rel.)
30.96  488
31.26  1000
31.58  749
32.38  552
32.57  407
33.17  716
33.80  422
35.87  315

Crystal structure
abc: 6.0132 9.7790 11.2359
angles: 69.99 82.84 88.70
Space group P-1 (No. 2)
Unique sites:
1 Nd 0.0000 0.0000 0.0000 [1 per cell]
2 Nd 0.0988 0.9649 0.3456 [2 per cell]
3 Nd 0.4943 0.4575 0.1666 [2 per cell]
4 Ho 0.0403 0.6806 0.6595 [2 per cell]
5 Ho 0.0650 0.3182 0.0363 [2 per cell]
6 Ho 0.1648 0.3158 0.7229 [2 per cell]
7 Ho 0.3872 0.9022 0.7886 [2 per cell]
8 Ho 0.4300 0.1835 0.4857 [2 per cell]
9 Ho 0.4307 0.8228 0.1091 [2 per cell]
10 Tm 0.2832 0.5651 0.4217 [2 per cell]



3.
Starting from a DFT-relaxed cell (PBE, Alexandria), the powder XRD pattern of PmHo4Er4 was simulated for Cu Kα X-rays.

Principal peaks in the range 2θ from 5° to 70°, in order of rising 2θ:
Position (°2θ)  I (rel.)
29.92  288
30.87  532
31.25  1000
31.44  408
31.66  537
32.91  257
35.96  366
56.32  219

Crystal structure
abc: 6.2458 17.0731 10.7479
angles: 90.00 99.58 90.00
Space group C2/m (No. 12)
Unique sites:
1 Pm 0.2229 0.0000 0.2808 [4 per cell]
2 Ho 0.0000 0.1858 0.0000 [4 per cell]
3 Ho 0.0000 0.3567 0.5000 [4 per cell]
4 Ho 0.9999 0.3581 0.1656 [8 per cell]
5 Er 0.0056 0.1861 0.6665 [8 per cell]
6 Er 0.2254 0.0000 0.6132 [4 per cell]
7 Er 0.2267 0.0000 0.9465 [4 per cell]



4.
Starting from a DFT-relaxed cell (PBE, Alexandria), the powder XRD pattern of MgCd3 was simulated for Cu Kα X-rays.

Principal peaks in the range 2θ from 5° to 70°, in order of rising 2θ:
Position (°2θ)  I (rel.)
22.00  263
33.21  228
33.90  437
37.42  1000
38.25  464
48.19  155
60.51  154
62.98  204

Crystal structure
abc: 5.2891 6.2878 5.2541
angles: 90.00 90.00 90.00
Space group Pmmn (No. 59, origin choice 2)
Unique sites:
1 Mg 0.2500 0.2500 0.1640 [2 per cell]
2 Cd 0.2500 0.0020 0.6672 [4 per cell]
3 Cd 0.2500 0.7500 0.1680 [2 per cell]



5.
Starting from a DFT-relaxed cell (PBE, Alexandria), the powder XRD pattern of K6Au4O was simulated for Cu Kα X-rays.

Principal peaks in the range 2θ from 5° to 70°, in order of rising 2θ:
Position (°2θ)  I (rel.)
14.42  367
17.87  461
22.89  407
23.04  257
29.19  1000
32.60  227
37.36  490
41.64  437

Crystal structure
abc: 8.6872 8.6872 9.9280
angles: 90.00 90.00 90.00
Space group P4/mnc (No. 128)
Unique sites:
1 K 0.0000 0.0000 0.2472 [4 per cell]
2 K 0.1311 0.2772 0.5000 [8 per cell]
3 Au 0.1182 0.6182 0.2500 [8 per cell]
4 O 0.0000 0.0000 0.5000 [2 per cell]



6.
Starting from a DFT-relaxed cell (PBE, Alexandria), the powder XRD pattern of U4OsRu was simulated for Cu Kα X-rays.

Principal peaks in the range 2θ from 5° to 70°, in order of rising 2θ:
Position (°2θ)  I (rel.)
35.43  1000
35.82  270
37.18  369
39.35  377
41.04  375
46.89  193
54.25  169
68.81  152

Crystal structure
abc: 6.0823 8.2552 9.1599
angles: 90.00 90.00 90.00
Space group Cccm (No. 66)
Unique sites:
1 U 0.0000 0.1566 0.2500 [8 per cell]
2 U 0.2483 0.4063 0.0000 [8 per cell]
3 Os 0.0000 0.5000 0.2500 [4 per cell]
4 Ru 0.2500 0.2500 0.5000 [4 per cell]



7.
Starting from a DFT-relaxed cell (PBE, Alexandria), the powder XRD pattern of CeB4Ir4 was simulated for Cu Kα X-rays.

Principal peaks in the range 2θ from 5° to 70°, in order of rising 2θ:
Position (°2θ)  I (rel.)
28.88  604
35.18  1000
39.02  670
39.59  525
44.44  418
47.41  265
63.42  149
69.30  175

Crystal structure
abc: 5.4236 5.4236 7.5250
angles: 90.00 90.00 90.00
Space group P4_2/nmc (No. 137, origin choice 2)
Unique sites:
1 Ce 0.2500 0.7500 0.2500 [2 per cell]
2 B 0.0788 0.2500 0.0962 [8 per cell]
3 Ir 0.0015 0.2500 0.3944 [8 per cell]



8.
Starting from a DFT-relaxed cell (PBE, Alexandria), the powder XRD pattern of PaAlTe2N was simulated for Cu Kα X-rays.

Principal peaks in the range 2θ from 5° to 70°, in order of rising 2θ:
Position (°2θ)  I (rel.)
6.12  840
29.04  1000
31.65  644
33.45  353
45.36  265
49.76  248
54.76  347
57.52  158

Crystal structure
abc: 3.9985 3.9985 14.4352
angles: 90.00 90.00 90.00
Space group P4/nmm (No. 129, origin choice 2)
Unique sites:
1 Pa 0.2500 0.2500 0.0798 [2 per cell]
2 Al 0.2500 0.2500 0.5988 [2 per cell]
3 Te 0.2500 0.2500 0.3976 [2 per cell]
4 Te 0.2500 0.2500 0.8019 [2 per cell]
5 N 0.2500 0.7500 0.0000 [2 per cell]



9.
Starting from a DFT-relaxed cell (PBE, Alexandria), the powder XRD pattern of CsIn6Sn4 was simulated for Cu Kα X-rays.

Principal peaks in the range 2θ from 5° to 70°, in order of rising 2θ:
Position (°2θ)  I (rel.)
26.54  257
29.09  1000
31.30  458
34.11  451
35.76  713
39.66  276
46.97  296
64.04  328

Crystal structure
abc: 8.7304 8.7304 5.2574
angles: 90.00 90.00 120.00
Space group P-6m2 (No. 187)
Unique sites:
1 Cs 0.0000 0.0000 0.0000 [1 per cell]
2 In 0.2057 0.4114 0.5000 [3 per cell]
3 In 0.5375 0.0751 0.0000 [3 per cell]
4 Sn 0.3333 0.6667 0.0000 [1 per cell]
5 Sn 0.4187 0.2093 0.5000 [3 per cell]



10.
Starting from a DFT-relaxed cell (PBE, Alexandria), the powder XRD pattern of Li2Hf2In3 was simulated for Cu Kα X-rays.

Principal peaks in the range 2θ from 5° to 70°, in order of rising 2θ:
Position (°2θ)  I (rel.)
8.38  1000
19.02  129
30.67  187
35.23  795
37.36  220
37.60  234
41.23  293
66.33  123

Crystal structure
abc: 4.7847 21.0955 3.0333
angles: 90.00 90.00 90.00
Space group Cmmm (No. 65)
Unique sites:
1 Li 0.0000 0.0684 0.0000 [4 per cell]
2 Hf 0.0000 0.2105 0.0000 [4 per cell]
3 In 0.0000 0.3488 0.5000 [4 per cell]
4 In 0.0000 0.5000 0.5000 [2 per cell]



11.
Starting from a DFT-relaxed cell (PBE, Alexandria), the powder XRD pattern of ZrCrAg2 was simulated for Cu Kα X-rays.

Principal peaks in the range 2θ from 5° to 70°, in order of rising 2θ:
Position (°2θ)  I (rel.)
37.66  1000
38.59  916
38.93  893
53.80  169
54.84  159
57.59  126
68.37  310
69.05  301

Crystal structure
abc: 3.3481 3.4080 6.4015
angles: 90.00 90.00 90.00
Space group Pmm2 (No. 25)
Unique sites:
1 Zr 0.0000 0.0000 0.0000 [1 per cell]
2 Cr 0.5000 0.5000 0.7554 [1 per cell]
3 Ag 0.0000 0.0000 0.5199 [1 per cell]
4 Ag 0.5000 0.5000 0.2760 [1 per cell]



12.
Starting from a DFT-relaxed cell (PBE, Alexandria), the powder XRD pattern of Ti3Sb was simulated for Cu Kα X-rays.

Principal peaks in the range 2θ from 5° to 70°, in order of rising 2θ:
Position (°2θ)  I (rel.)
25.36  598
34.15  253
35.07  228
36.06  251
38.09  329
38.28  361
39.11  1000
49.60  270

Crystal structure
abc: 10.5660 10.5660 5.2506
angles: 90.00 90.00 90.00
Space group I4/mcm (No. 140)
Unique sites:
1 Ti 0.0000 0.0000 0.2500 [4 per cell]
2 Ti 0.0000 0.5000 0.2500 [4 per cell]
3 Ti 0.0760 0.2166 0.0000 [16 per cell]
4 Sb 0.1626 0.3374 0.5000 [8 per cell]